Entry 1:
Simulated X-ray powder pattern of LiV4O5F7 for Cu Ka, from DFT lattice parameters and positions (GGA+U).
Lines closer than 0.1° are merged.

Structure:
Cell lengths 5.3784, 9.0547, 9.1475 Å; angles 69.11, 88.14, 87.46 degrees
Space group P1 (No. 1)
Unique sites:
Li1 0.0000 0.0000 0.0000 [1 per cell]
Li2 0.3909 0.9775 0.4788 [1 per cell]
V1 0.4040 0.3591 0.3820 [1 per cell]
V2 0.4384 0.1325 0.1002 [1 per cell]
V3 0.4432 0.6179 0.6423 [1 per cell]
V4 0.4675 0.8468 0.8719 [1 per cell]
V5 0.9042 0.3604 0.8821 [1 per cell]
V6 0.9294 0.1329 0.6005 [1 per cell]
V7 0.9433 0.6196 0.1417 [1 per cell]
V8 0.9617 0.8448 0.3732 [1 per cell]
O1 0.1438 0.4899 0.2909 [1 per cell]
O2 0.2216 0.7439 0.4541 [1 per cell]
O3 0.2348 0.2340 0.9625 [1 per cell]
O4 0.2504 0.1846 0.4965 [1 per cell]
O5 0.4344 0.7938 0.6870 [1 per cell]
O6 0.6428 0.4885 0.7932 [1 per cell]
O7 0.7200 0.7401 0.9554 [1 per cell]
O8 0.7350 0.2394 0.4600 [1 per cell]
O9 0.7563 0.1821 0.9992 [1 per cell]
O10 0.9327 0.7969 0.1871 [1 per cell]
F1 0.1355 0.9904 0.8012 [1 per cell]
F2 0.1427 0.5285 0.7607 [1 per cell]
F3 0.1476 0.0378 0.2532 [1 per cell]
F4 0.2262 0.6888 0.9917 [1 per cell]
F5 0.4173 0.9404 0.0447 [1 per cell]
F6 0.4195 0.4499 0.5461 [1 per cell]
F7 0.4536 0.2920 0.1984 [1 per cell]
F8 0.6302 0.9878 0.3043 [1 per cell]
F9 0.6430 0.5296 0.2601 [1 per cell]
F10 0.6451 0.0389 0.7510 [1 per cell]
F11 0.7291 0.6843 0.4932 [1 per cell]
F12 0.9228 0.4494 0.0464 [1 per cell]
F13 0.9396 0.9409 0.5450 [1 per cell]
F14 0.9511 0.2916 0.6999 [1 per cell]

Principal peaks in the range 2θ from 10° to 90°, sorted by position:
hkl, 2theta, d [Å], I/Imax
0 2 2, 23.77, 3.743, 100.0
1 -1 1, 24.03, 3.703, 54.6
1 1 3, 33.35, 2.687, 16.4
1 3 1, 33.45, 2.679, 8.1
2 0 -2, 39.96, 2.256, 11.6
0 4 2, 40.36, 2.235, 17.7
0 4 4, 48.66, 1.871, 20.6
2 -2 2, 49.22, 1.851, 10.4
3 1 -1, 54.01, 1.698, 12.0
1 5 3, 54.27, 1.690, 12.7
2 0 4, 54.40, 1.687, 10.9
1 1 -5, 61.71, 1.503, 8.3

***

Entry 2:
Simulated X-ray powder pattern of Li9Mn2Co5O16 for Cu Ka, from DFT lattice parameters and positions (GGA+U).
Lines closer than 0.1° are merged.

Structure:
Cell lengths 5.0793, 11.5606, 5.1450 Å; angles 90.00, 110.56, 90.00 degrees
Space group P2 (No. 3)
Unique sites:
Li1 0.0000 0.0000 0.0000 [1 per cell]
Li2 0.0000 0.1164 0.5000 [1 per cell]
Li3 0.0000 0.3776 0.5000 [1 per cell]
Li4 0.0000 0.6290 0.5000 [1 per cell]
Li5 0.0000 0.8787 0.5000 [1 per cell]
Li6 0.5000 0.0021 0.5000 [1 per cell]
Li7 0.5000 0.2481 0.5000 [1 per cell]
Li8 0.5000 0.5019 0.5000 [1 per cell]
Li9 0.5000 0.7522 0.5000 [1 per cell]
Mn1 0.0000 0.2442 0.0000 [1 per cell]
Mn2 0.5000 0.8785 0.0000 [1 per cell]
Co1 0.0000 0.5016 0.0000 [1 per cell]
Co2 0.0000 0.7538 0.0000 [1 per cell]
Co3 0.5000 0.1231 0.0000 [1 per cell]
Co4 0.5000 0.3763 0.0000 [1 per cell]
Co5 0.5000 0.6300 0.0000 [1 per cell]
O1 0.2328 0.6278 0.2236 [2 per cell]
O2 0.2356 0.3718 0.2288 [2 per cell]
O3 0.2484 0.2465 0.7822 [2 per cell]
O4 0.2496 0.8680 0.2140 [2 per cell]
O5 0.2534 0.1332 0.2215 [2 per cell]
O6 0.2625 0.4995 0.7660 [2 per cell]
O7 0.2733 0.7546 0.7626 [2 per cell]
O8 0.2816 0.9996 0.7695 [2 per cell]

Principal peaks in the range 2θ from 10° to 90°, sorted by position:
hkl, 2theta, d [Å], I/Imax
0 0 1, 18.42, 4.817, 100.0
2 0 -1, 35.76, 2.511, 14.7
1 4 0, 36.38, 2.470, 25.2
2 0 0, 37.80, 2.380, 11.2
2 0 -2, 43.06, 2.101, 29.1
1 4 1, 44.15, 2.051, 53.0
1 4 -2, 47.69, 1.907, 9.1
1 4 2, 58.17, 1.586, 9.4
1 4 -3, 63.03, 1.475, 14.8
3 4 -1, 63.72, 1.461, 14.9
2 0 2, 63.96, 1.456, 7.0
0 8 0, 64.48, 1.445, 7.1

***

Entry 3:
Simulated X-ray powder pattern of Li2VCrO4 for Cu Ka, from DFT lattice parameters and positions (GGA+U).
Lines closer than 0.1° are merged.

Structure:
Cell lengths 5.1693, 5.9980, 7.8745 Å; angles 79.18, 77.10, 73.29 degrees
Space group P-1 (No. 2)
Unique sites:
Li1 0.0000 0.0000 0.0000 [1 per cell]
Li2 0.0000 0.5000 0.0000 [1 per cell]
Li3 0.0028 0.1621 0.3357 [2 per cell]
Li4 0.0027 0.3274 0.6675 [2 per cell]
V1 0.4996 0.3364 0.1666 [2 per cell]
V2 0.5000 0.5000 0.5000 [1 per cell]
Cr1 0.4991 0.8374 0.1670 [2 per cell]
Cr2 0.5000 0.0000 0.5000 [1 per cell]
O1 0.2734 0.4873 0.7478 [2 per cell]
O2 0.2730 0.6644 0.0824 [2 per cell]
O3 0.2726 0.8348 0.4129 [2 per cell]
O4 0.2740 0.1610 0.0800 [2 per cell]
O5 0.2744 0.3273 0.4163 [2 per cell]
O6 0.2761 0.9913 0.7476 [2 per cell]

Principal peaks in the range 2θ from 10° to 90°, sorted by position:
hkl, 2theta, d [Å], I/Imax
1 0 0, 18.22, 4.870, 100.0
0 2 -1, 35.09, 2.558, 13.5
1 2 2, 35.19, 2.550, 13.4
0 0 3, 35.39, 2.536, 13.4
1 0 3, 36.85, 2.439, 10.2
1 -2 1, 42.63, 2.121, 28.7
2 2 2, 42.78, 2.114, 28.5
1 0 -3, 43.07, 2.100, 27.9
2 2 -1, 46.90, 1.937, 12.4
1 4 1, 61.88, 1.499, 7.9
0 2 -4, 62.14, 1.494, 15.2
1 2 5, 62.30, 1.490, 22.5

***

Question: Number 2 is which compound?
Answer: Li9Mn2Co5O16